The following is a simulated powder X-ray diffraction pattern of Tl3Pt. It was derived from a cell relaxed with GGA-PBE, using copper Kα.
Kinematic intensities with the Lorentz-polarization factor, no thermal factor.

Top 10 peaks for 2θ = 10–80°, by angle:
| h k l | 2θ (°) | I/Imax |
| --- | --- | --- |
| 2 0 0 | 30.2 | 32 |
| 2 1 0 | 33.9 | 100 |
| 2 1 1 | 37.3 | 75 |
| 2 2 2 | 53.7 | 10 |
| 3 2 0 | 56.1 | 24 |
| 3 2 1 | 58.4 | 41 |
| 4 0 0 | 62.9 | 17 |
| 4 2 0 | 71.4 | 11 |
| 4 2 1 | 73.4 | 22 |
| 3 3 2 | 75.4 | 10 |

Atomic structure:
abc: 5.9103 5.9103 5.9103
angles: 90.00 90.00 90.00
Atoms (fractional coordinates):
Tl (0.0000, 0.2500, 0.5000)
Tl (0.0000, 0.7500, 0.5000)
Tl (0.2500, 0.5000, 0.0000)
Tl (0.5000, 0.0000, 0.2500)
Tl (0.5000, 0.0000, 0.7500)
Tl (0.7500, 0.5000, 0.0000)
Pt (0.0000, 0.0000, 0.0000)
Pt (0.5000, 0.5000, 0.5000)